1.
# Y2BeAlPt6
Calculated powder diffraction line list, Cu Kα, 1.54184 Å. Input: a structure optimized by DFT (GGA-PBE).
Intensities are scaled so that the largest is 100.

Most intense lines, 2θ from 10° to 90°, sorted by position:
27.03 deg, rel. 50; 37.80 deg, rel. 100; 41.08 deg, rel. 81; 52.55 deg, rel. 19; 65.99 deg, rel. 23; 72.68 deg, rel. 19

Structural model:
```
data_Y2BeAlPt6
_chemical_formula_sum 'Y6 Be3 Al3 Pt18'
_symmetry_space_group_name_H-M 'R -3 m'
_symmetry_Int_Tables_number 166
_symmetry_space_group_name_Hall '-R 3 2"'
_cell_length_a 5.6628
_cell_length_b 5.6628
_cell_length_c 19.7912
_cell_angle_alpha 90.00
_cell_angle_beta 90.00
_cell_angle_gamma 120.00
loop_
_atom_site_label
_atom_site_type_symbol
_atom_site_fract_x
_atom_site_fract_y
_atom_site_fract_z
Y1 Y 0.0000 0.0000 0.2095
Be1 Be 0.0000 0.0000 0.0000
Al1 Al 0.0000 0.0000 0.5000
Pt1 Pt 0.0082 0.5041 0.2625
```


2.
# Li3Cu2F8
Calculated powder diffraction line list, Cu Kα, 1.54184 Å. Input: a structure optimized by DFT (GGA-PBE).
Intensities are scaled so that the largest is 100.

Most intense lines, 2θ from 10° to 90°, sorted by position:
14.78 deg, rel. 100; 19.30 deg, rel. 71; 22.95 deg, rel. 30; 24.58 deg, rel. 41; 24.80 deg, rel. 66; 49.13 deg, rel. 32

Structural model:
```
data_Li3Cu2F8
_chemical_formula_sum 'Li6 Cu4 F16'
_symmetry_space_group_name_H-M 'P 1 21/c 1'
_symmetry_Int_Tables_number 14
_cell_length_a 6.006
_cell_length_b 5.241
_cell_length_c 9.603
_cell_angle_alpha 90.00
_cell_angle_beta 93.97
_cell_angle_gamma 90.00
loop_
_symmetry_equiv_pos_as_xyz
'x,y,z'
'-x,-y,-z'
'-x,y+1/2,-z+1/2'
'x,-y+1/2,z+1/2'
loop_
_atom_site_label
_atom_site_type_symbol
_atom_site_fract_x
_atom_site_fract_y
_atom_site_fract_z
Li1 Li 0.000 0.000 0.000
Li2 Li 0.342 0.030 0.753
Cu1 Cu 0.135 0.519 0.868
F1 F 0.031 0.699 0.683
F2 F 0.150 0.145 0.567
F3 F 0.267 0.662 0.418
F4 F 0.400 0.127 0.307
```


3.
# Be2CuAs
Calculated powder diffraction line list, Cu Kα, 1.54184 Å. Input: a structure optimized by DFT (GGA-PBE).
Intensities are scaled so that the largest is 100.

Most intense lines, 2θ from 10° to 90°, sorted by position:
24.94 deg, rel. 100; 32.79 deg, rel. 50; 41.63 deg, rel. 71; 45.02 deg, rel. 56; 50.15 deg, rel. 41; 56.80 deg, rel. 40

Structural model:
```
data_Be2CuAs
_chemical_formula_sum 'Be8 Cu4 As4'
_symmetry_space_group_name_H-M 'F m m m'
_symmetry_Int_Tables_number 69
_symmetry_space_group_name_Hall '-F 2 2'
_cell_length_a 4.877
_cell_length_b 5.463
_cell_length_c 7.140
_cell_angle_alpha 90.00
_cell_angle_beta 90.00
_cell_angle_gamma 90.00
loop_
_atom_site_label
_atom_site_type_symbol
_atom_site_fract_x
_atom_site_fract_y
_atom_site_fract_z
Be1 Be 0.250 0.250 0.250
Cu1 Cu 0.000 0.000 0.000
As1 As 0.000 0.000 0.500
```


4.
# Li5Mg
Calculated powder diffraction line list, Cu Kα, 1.54184 Å. Input: a structure optimized by DFT (GGA-PBE).
Intensities are scaled so that the largest is 100.

Most intense lines, 2θ from 10° to 90°, sorted by position:
11.92 deg, rel. 61; 17.92 deg, rel. 24; 33.37 deg, rel. 34; 33.93 deg, rel. 28; 35.55 deg, rel. 26; 38.13 deg, rel. 100

Structural model:
```
data_Li5Mg
_chemical_formula_sum 'Li5 Mg1'
_symmetry_space_group_name_H-M 'P -6 m 2'
_symmetry_Int_Tables_number 187
_symmetry_space_group_name_Hall 'P -6 2'
_cell_length_a 3.1003
_cell_length_b 3.1003
_cell_length_c 14.8535
_cell_angle_alpha 90.00
_cell_angle_beta 90.00
_cell_angle_gamma 120.00
loop_
_atom_site_label
_atom_site_type_symbol
_atom_site_fract_x
_atom_site_fract_y
_atom_site_fract_z
Li1 Li 0.0000 0.0000 0.0000
Li2 Li 0.0000 0.0000 0.3307
Li3 Li 0.3333 0.6667 0.1649
Mg1 Mg 0.3333 0.6667 0.5000
```


5.
# Rb3MnCl7
Calculated powder diffraction line list, Cu Kα, 1.54184 Å. Input: a structure optimized by DFT (GGA-PBE).
Intensities are scaled so that the largest is 100.

Most intense lines, 2θ from 10° to 90°, sorted by position:
22.11 deg, rel. 52; 25.58 deg, rel. 64; 28.68 deg, rel. 61; 32.77 deg, rel. 100; 36.48 deg, rel. 30; 60.95 deg, rel. 26

Structural model:
```
data_Rb3MnCl7
_chemical_formula_sum 'Rb6 Mn2 Cl14'
_symmetry_space_group_name_H-M 'P 4/m b m'
_symmetry_Int_Tables_number 127
_symmetry_space_group_name_Hall '-P 4 2ab'
_cell_length_a 9.841
_cell_length_b 9.841
_cell_length_c 6.975
_cell_angle_alpha 90.00
_cell_angle_beta 90.00
_cell_angle_gamma 90.00
loop_
_atom_site_label
_atom_site_type_symbol
_atom_site_fract_x
_atom_site_fract_y
_atom_site_fract_z
Rb1 Rb 0.000 0.000 0.000
Rb2 Rb 0.178 0.322 0.500
Mn1 Mn 0.000 0.500 0.000
Cl1 Cl 0.000 0.000 0.500
Cl2 Cl 0.115 0.615 0.233
Cl3 Cl 0.164 0.336 0.000
```


6.
# Ac2SmThBi5
Calculated powder diffraction line list, Cu Kα, 1.54184 Å. Input: a structure optimized by DFT (GGA-PBE).
Intensities are scaled so that the largest is 100.

Most intense lines, 2θ from 10° to 90°, sorted by position:
21.76 deg, rel. 73; 26.27 deg, rel. 37; 29.35 deg, rel. 48; 30.96 deg, rel. 100; 43.18 deg, rel. 71; 44.35 deg, rel. 38

Structural model:
```
data_Ac2SmThBi5
_chemical_formula_sum 'Ac2 Sm1 Th1 Bi5'
_symmetry_space_group_name_H-M 'P 4/m m m'
_symmetry_Int_Tables_number 123
_symmetry_space_group_name_Hall '-P 4 2'
_cell_length_a 5.777
_cell_length_b 5.777
_cell_length_c 12.172
_cell_angle_alpha 90.00
_cell_angle_beta 90.00
_cell_angle_gamma 90.00
loop_
_atom_site_label
_atom_site_type_symbol
_atom_site_fract_x
_atom_site_fract_y
_atom_site_fract_z
Ac1 Ac 0.000 0.000 0.216
Sm1 Sm 0.500 0.500 0.500
Th1 Th 0.500 0.500 0.000
Bi1 Bi 0.000 0.000 0.500
Bi2 Bi 0.000 0.500 0.000
Bi3 Bi 0.500 0.500 0.256
```


7.
# CaHoSnRh
Calculated powder diffraction line list, Cu Kα, 1.54184 Å. Input: a structure optimized by DFT (GGA-PBE).
Intensities are scaled so that the largest is 100.

Most intense lines, 2θ from 10° to 90°, sorted by position:
21.36 deg, rel. 18; 35.24 deg, rel. 100; 50.69 deg, rel. 18; 63.24 deg, rel. 36; 74.51 deg, rel. 11; 85.20 deg, rel. 16

Structural model:
```
data_CaHoSnRh
_chemical_formula_sum 'Ca4 Ho4 Sn4 Rh4'
_symmetry_space_group_name_H-M 'F -4 3 m'
_symmetry_Int_Tables_number 216
_symmetry_space_group_name_Hall 'F -4 2 3'
_cell_length_a 7.204
_cell_length_b 7.204
_cell_length_c 7.204
_cell_angle_alpha 90.00
_cell_angle_beta 90.00
_cell_angle_gamma 90.00
loop_
_atom_site_label
_atom_site_type_symbol
_atom_site_fract_x
_atom_site_fract_y
_atom_site_fract_z
Ca1 Ca 0.000 0.000 0.000
Ho1 Ho 0.000 0.000 0.500
Sn1 Sn 0.250 0.250 0.750
Rh1 Rh 0.250 0.250 0.250
```


8.
# Cs3Pa4O12
Calculated powder diffraction line list, Cu Kα, 1.54184 Å. Input: a structure optimized by DFT (GGA-PBE).
Intensities are scaled so that the largest is 100.

Most intense lines, 2θ from 10° to 90°, sorted by position:
20.12 deg, rel. 26; 28.60 deg, rel. 100; 40.90 deg, rel. 28; 50.67 deg, rel. 43; 67.06 deg, rel. 19; 81.63 deg, rel. 23

Structural model:
```
data_Cs3Pa4O12
_chemical_formula_sum 'Cs6 Pa8 O24'
_symmetry_space_group_name_H-M 'I m -3 m'
_symmetry_Int_Tables_number 229
_symmetry_space_group_name_Hall '-I 4 2 3'
_cell_length_a 8.827
_cell_length_b 8.827
_cell_length_c 8.827
_cell_angle_alpha 90.00
_cell_angle_beta 90.00
_cell_angle_gamma 90.00
loop_
_atom_site_label
_atom_site_type_symbol
_atom_site_fract_x
_atom_site_fract_y
_atom_site_fract_z
Cs1 Cs 0.000 0.000 0.500
Pa1 Pa 0.250 0.250 0.250
O1 O 0.000 0.252 0.252
```


9.
# La3DyTh
Calculated powder diffraction line list, Cu Kα, 1.54184 Å. Input: a structure optimized by DFT (GGA-PBE).
Intensities are scaled so that the largest is 100.

Most intense lines, 2θ from 10° to 90°, sorted by position:
29.61 deg, rel. 71; 29.80 deg, rel. 65; 30.67 deg, rel. 100; 33.52 deg, rel. 75; 49.92 deg, rel. 49; 59.22 deg, rel. 57

Structural model:
```
data_La3DyTh
_chemical_formula_sum 'La6 Dy2 Th2'
_symmetry_space_group_name_H-M 'P 63 m c'
_symmetry_Int_Tables_number 186
_symmetry_space_group_name_Hall 'P 6c -2c'
_cell_length_a 3.6540
_cell_length_b 3.6540
_cell_length_c 29.9827
_cell_angle_alpha 90.00
_cell_angle_beta 90.00
_cell_angle_gamma 120.00
loop_
_atom_site_label
_atom_site_type_symbol
_atom_site_fract_x
_atom_site_fract_y
_atom_site_fract_z
La1 La 0.0000 0.0000 0.0000
La2 La 0.3333 0.6667 0.1078
La3 La 0.3333 0.6667 0.8005
Dy1 Dy 0.3333 0.6667 0.4037
Th1 Th 0.0000 0.0000 0.2041
```


10.
# ZnHPd3
Calculated powder diffraction line list, Cu Kα, 1.54184 Å. Input: a structure optimized by DFT (GGA-PBE).
Intensities are scaled so that the largest is 100.

Most intense lines, 2θ from 10° to 90°, sorted by position:
38.45 deg, rel. 55; 38.89 deg, rel. 100; 40.00 deg, rel. 44; 44.01 deg, rel. 71; 48.13 deg, rel. 20; 76.75 deg, rel. 15

Structural model:
```
data_ZnHPd3
_chemical_formula_sum 'Zn2 H2 Pd6'
_symmetry_space_group_name_H-M 'P 1 21/m 1'
_symmetry_Int_Tables_number 11
_cell_length_a 4.672
_cell_length_b 5.859
_cell_length_c 4.851
_cell_angle_alpha 90.00
_cell_angle_beta 105.23
_cell_angle_gamma 90.00
loop_
_symmetry_equiv_pos_as_xyz
'x,y,z'
'-x,-y,-z'
'-x,y+1/2,-z'
'x,-y+1/2,z'
loop_
_atom_site_label
_atom_site_type_symbol
_atom_site_fract_x
_atom_site_fract_y
_atom_site_fract_z
Zn1 Zn 0.229 0.250 0.267
H1 H 0.173 0.250 0.833
Pd1 Pd 0.213 0.750 0.203
Pd2 Pd 0.282 0.513 0.718
```


11.
# AcPm2IO8
Calculated powder diffraction line list, Cu Kα, 1.54184 Å. Input: a structure optimized by DFT (GGA-PBE).
Intensities are scaled so that the largest is 100.

Most intense lines, 2θ from 10° to 90°, sorted by position:
24.07 deg, rel. 52; 24.40 deg, rel. 52; 30.10 deg, rel. 100; 34.54 deg, rel. 28; 46.27 deg, rel. 36; 46.65 deg, rel. 37

Structural model:
```
data_AcPm2IO8
_chemical_formula_sum 'Ac1 Pm2 I1 O8'
_symmetry_space_group_name_H-M 'P 1 2/m 1'
_symmetry_Int_Tables_number 10
_cell_length_a 5.191
_cell_length_b 7.238
_cell_length_c 5.197
_cell_angle_alpha 90.00
_cell_angle_beta 90.77
_cell_angle_gamma 90.00
loop_
_symmetry_equiv_pos_as_xyz
'x,y,z'
'-x,-y,-z'
'-x,y,-z'
'x,-y,z'
loop_
_atom_site_label
_atom_site_type_symbol
_atom_site_fract_x
_atom_site_fract_y
_atom_site_fract_z
Ac1 Ac 0.000 0.000 0.000
Pm1 Pm 0.500 0.253 0.500
I1 I 0.000 0.500 0.000
O1 O 0.180 0.307 0.182
O2 O 0.259 0.500 0.743
O3 O 0.322 0.000 0.681
```


12.
# V3Ru2Rh6
Calculated powder diffraction line list, Cu Kα, 1.54184 Å. Input: a structure optimized by DFT (GGA-PBE).
Intensities are scaled so that the largest is 100.

Most intense lines, 2θ from 10° to 90°, sorted by position:
40.61 deg, rel. 38; 41.61 deg, rel. 100; 42.65 deg, rel. 51; 42.81 deg, rel. 90; 78.23 deg, rel. 31; 84.56 deg, rel. 24

Structural model:
```
data_V3Ru2Rh6
_chemical_formula_sum 'V6 Ru4 Rh12'
_symmetry_space_group_name_H-M 'I m m m'
_symmetry_Int_Tables_number 71
_symmetry_space_group_name_Hall '-I 2 2'
_cell_length_a 2.728
_cell_length_b 4.240
_cell_length_c 26.797
_cell_angle_alpha 90.00
_cell_angle_beta 90.00
_cell_angle_gamma 90.00
loop_
_atom_site_label
_atom_site_type_symbol
_atom_site_fract_x
_atom_site_fract_y
_atom_site_fract_z
V1 V 0.000 0.000 0.000
V2 V 0.000 0.000 0.184
Ru1 Ru 0.000 0.000 0.455
Rh1 Rh 0.000 0.000 0.278
Rh2 Rh 0.000 0.500 0.132
Rh3 Rh 0.000 0.500 0.402
```